Computed powder diffraction line list of Ta3AlCN for Cu Ka, from a crystal structure in OQMD, relaxed with GGA-PBE.
Lines closer than 0.1° are merged.

Lattice parameters (Å, degrees): 3.0941 3.0941 19.0869 90.00 90.00 120.00
Space group P-3m1 (No. 164)
Symmetry-distinct sites (fractional):
Ta 0.0000 0.0000 0.0000
Ta 0.0000 0.0000 0.5000
Ta 0.3333 0.6667 0.1325
Ta 0.3333 0.6667 0.3648
Al 0.0000 0.0000 0.2487
C 0.3333 0.6667 0.5691
N 0.3333 0.6667 0.9333

Peak list (10 most intense, 10° ≤ 2θ ≤ 80°, by angle)
2θ (°)  intensity
28.0  16
33.8  48
34.8  24
36.4  20
37.7  31
38.5  100
41.2  47
55.2  23
59.8  33
72.9  28